Record 1
Computed X-ray powder pattern
Compound: Nd6Ge2PBr3
Radiation: Cu Kα (λ = 1.5418 Å)
Structure: the GGA-PBE geometry in Alexandria
Kinematic intensities with the Lorentz-polarization factor, no thermal factor.

The 6 most intense peaks (10 to 90 degrees two-theta), by intensity:
Position (°2θ), d (Å), I/Imax
29.2, 3.060, 100.0
42.6, 2.124, 38.3
40.9, 2.206, 30.9
52.4, 1.745, 19.1
69.7, 1.348, 16.0
25.5, 3.490, 15.9

Structural model:
abc: 7.3584 7.3584 7.7491
angles: 99.10 99.10 119.99
Positions (direct):
Nd 0.0695 0.3965 0.2087
Nd 0.2576 0.2576 0.7915
Nd 0.3965 0.0695 0.2087
Nd 0.6035 0.9305 0.7913
Nd 0.7424 0.7424 0.2085
Nd 0.9305 0.6035 0.7913
Ge 0.3334 0.6666 0.0000
Ge 0.6666 0.3334 0.0000
P 0.0000 0.0000 0.0000
Br 0.1684 0.8316 0.5000
Br 0.5000 0.5000 0.5000
Br 0.8316 0.1684 0.5000


Record 2
Computed X-ray powder pattern
Compound: Tm2Mn16Mo
Radiation: Cu Kα (λ = 1.5418 Å)
Structure: the GGA-PBE geometry in Alexandria
Kinematic intensities with the Lorentz-polarization factor, no thermal factor.

The 6 most intense peaks (10 to 90 degrees two-theta), by intensity:
Position (°2θ), d (Å), I/Imax
41.7, 2.164, 100.0
43.0, 2.104, 99.9
39.1, 2.305, 73.7
35.9, 2.499, 62.3
30.9, 2.896, 43.4
44.5, 2.034, 41.4

Structural model:
abc: 6.3379 6.3379 6.3379
angles: 86.15 86.15 86.15
Positions (direct):
Tm 0.0000 0.0000 0.0000
Tm 0.2896 0.2896 0.2896
Mn 0.0032 0.0032 0.5216
Mn 0.0032 0.5216 0.0032
Mn 0.1455 0.6469 0.6469
Mn 0.2846 0.2846 0.7730
Mn 0.2846 0.7730 0.2846
Mn 0.3687 0.6490 0.9271
Mn 0.3687 0.9271 0.6490
Mn 0.5216 0.0032 0.0032
Mn 0.6469 0.1455 0.6469
Mn 0.6469 0.6469 0.1455
Mn 0.6490 0.3687 0.9271
Mn 0.6490 0.9271 0.3687
Mn 0.7511 0.7511 0.7511
Mn 0.7730 0.2846 0.2846
Mn 0.9271 0.3687 0.6490
Mn 0.9271 0.6490 0.3687
Mo 0.5469 0.5469 0.5469